Diffraction record for LiNp2TlO8. The XRD peak list is theoretical, not measured: it uses a crystal structure in Alexandria, relaxed with PBE and Cu Kα, 1.54184 Å.
No peak broadening, texture or thermal motion is included.

The 12 most intense peaks (2θ from 10° to 90°), sorted by position:
| (hkl) | 2theta | d [Å] | I (rel.) |
| --- | --- | --- | --- |
| 1 0 1 | 18.70 | 4.744 | 37 |
| 1 1 2 | 29.22 | 3.056 | 100 |
| 1 0 3 | 30.63 | 2.919 | 9 |
| 2 0 0 | 33.68 | 2.661 | 23 |
| 0 0 4 | 34.25 | 2.618 | 11 |
| 2 1 1 | 38.80 | 2.321 | 10 |
| 2 2 0 | 48.38 | 1.881 | 17 |
| 2 0 4 | 48.80 | 1.866 | 33 |
| 3 1 2 | 57.53 | 1.602 | 31 |
| 1 1 6 | 58.28 | 1.583 | 17 |
| 2 2 4 | 60.60 | 1.528 | 10 |
| 1 3 6 | 79.04 | 1.211 | 14 |

Structure:
a = 5.3215 Å, b = 5.3215 Å, c = 10.4737 Å
α = 90.00°, β = 90.00°, γ = 90.00°
Space group I-4 (No. 82)
Inequivalent atoms, fractional coordinates:
1 Li 0.0000 0.0000 0.0000 x2
2 Np 0.0000 0.0000 0.5000 x2
3 Np 0.0000 0.5000 0.2500 x2
4 Tl 0.0000 0.5000 0.7500 x2
5 O 0.2182 0.7304 0.3985 x8
6 O 0.2242 0.2306 0.3534 x8